Entry 1:
For SmDyScCd, a crystal structure in Alexandria, relaxed with GGA-PBE gives the theoretical powder diffraction line list in this record (Cu Kα (λ = 1.5418 Å)).
No peak broadening, texture or thermal motion is included.

Crystal structure
abc: 3.5705 3.5705 8.7646
angles: 90.00 90.00 90.00
Space group P4mm (No. 99)
Inequivalent atoms, fractional coordinates:
Sm  0.0000  0.0000  0.0000 (multiplicity 1)
Dy  0.0000  0.0000  0.5152 (multiplicity 1)
Sc  0.5000  0.5000  0.2612 (multiplicity 1)
Cd  0.5000  0.5000  0.7510 (multiplicity 1)

Top 12 peaks for 10° ≤ 2θ ≤ 80°, by angle:
| 2θ (°) | I (rel.) | index |
| --- | --- | --- |
| 10.09 | 12 | 0 0 1 |
| 20.26 | 8 | 0 0 2 |
| 24.94 | 10 | 1 0 0 |
| 32.34 | 100 | 1 0 2 |
| 35.56 | 39 | 1 1 0 |
| 41.22 | 18 | 0 0 4 |
| 51.17 | 14 | 2 0 0 |
| 55.54 | 23 | 1 1 4 |
| 61.84 | 30 | 2 1 2 |
| 67.70 | 11 | 2 0 4 |
| 69.53 | 10 | 1 0 6 |
| 75.28 | 4 | 2 2 0 |

Entry 2:
For Dy3CdSe6, a crystal structure in Alexandria, relaxed with GGA-PBE gives the theoretical powder diffraction line list in this record (Cu Kα (λ = 1.5418 Å)).
No peak broadening, texture or thermal motion is included.

Crystal structure
abc: 11.2353 13.4437 7.0557
angles: 90.00 90.00 90.00
Space group Cmc2_1 (No. 36)
Inequivalent atoms, fractional coordinates:
Dy  0.0000  0.0974  0.0000 (multiplicity 4)
Dy  0.1800  0.4024  0.9035 (multiplicity 8)
Cd  0.0000  0.2923  0.3817 (multiplicity 4)
Se  0.0000  0.2728  0.7499 (multiplicity 4)
Se  0.0000  0.4689  0.1957 (multiplicity 4)
Se  0.1637  0.0370  0.7035 (multiplicity 8)
Se  0.1805  0.2257  0.1678 (multiplicity 8)

Top 12 peaks for 10° ≤ 2θ ≤ 80°, by angle:
| 2θ (°) | I (rel.) | index |
| --- | --- | --- |
| 16.23 | 22 | 1 1 1 |
| 24.20 | 100 | 2 2 1 |
| 24.84 | 69 | 1 3 1 |
| 32.80 | 23 | 2 2 2 |
| 33.68 | 66 | 3 3 1 |
| 35.59 | 87 | 3 1 2 |
| 36.94 | 58 | 0 4 2 |
| 41.34 | 65 | 3 5 0 |
| 46.07 | 26 | 3 1 3 |
| 47.04 | 23 | 5 3 1 |
| 47.17 | 24 | 0 4 3 |
| 48.62 | 29 | 6 0 0 |

Entry 3:
For Dy4CdSe3, a crystal structure in Alexandria, relaxed with GGA-PBE gives the theoretical powder diffraction line list in this record (Cu Kα (λ = 1.5418 Å)).
No peak broadening, texture or thermal motion is included.

Crystal structure
abc: 8.4767 11.7447 4.0376
angles: 90.00 90.00 90.00
Space group Cmmm (No. 65)
Inequivalent atoms, fractional coordinates:
Dy  0.0000  0.2477  0.0000 (multiplicity 4)
Dy  0.2426  0.0000  0.5000 (multiplicity 4)
Cd  0.0000  0.5000  0.0000 (multiplicity 2)
Se  0.0000  0.0000  0.0000 (multiplicity 2)
Se  0.2500  0.2500  0.5000 (multiplicity 4)

Top 12 peaks for 10° ≤ 2θ ≤ 80°, by angle:
| 2θ (°) | I (rel.) | index |
| --- | --- | --- |
| 25.93 | 12 | 2 2 0 |
| 30.44 | 51 | 0 4 0 |
| 30.58 | 100 | 2 0 1 |
| 42.67 | 20 | 4 0 0 |
| 43.69 | 75 | 2 4 1 |
| 44.90 | 17 | 0 0 2 |
| 53.31 | 21 | 4 4 0 |
| 55.22 | 19 | 0 4 2 |
| 63.66 | 12 | 4 0 2 |
| 71.98 | 18 | 2 8 1 |
| 72.19 | 17 | 4 4 2 |
| 78.83 | 13 | 6 4 1 |

Entry 4:
For Sm3Dy3Cd2, a crystal structure in Alexandria, relaxed with GGA-PBE gives the theoretical powder diffraction line list in this record (Cu Kα (λ = 1.5418 Å)).
No peak broadening, texture or thermal motion is included.

Crystal structure
abc: 5.2860 11.7551 15.7173
angles: 90.00 90.00 90.00
Space group Cmcm (No. 63)
Inequivalent atoms, fractional coordinates:
Sm  0.0000  0.0386  0.1065 (multiplicity 8)
Sm  0.0000  0.2652  0.2500 (multiplicity 4)
Dy  0.0000  0.3564  0.0335 (multiplicity 8)
Dy  0.0000  0.4553  0.7500 (multiplicity 4)
Cd  0.0000  0.2311  0.6361 (multiplicity 8)

Top 12 peaks for 10° ≤ 2θ ≤ 80°, by angle:
| 2θ (°) | I (rel.) | index |
| --- | --- | --- |
| 28.35 | 22 | 1 3 0 |
| 29.32 | 100 | 1 1 4 |
| 30.59 | 40 | 1 3 2 |
| 30.96 | 27 | 0 4 1 |
| 32.53 | 23 | 0 4 2 |
| 33.20 | 86 | 1 3 3 |
| 33.92 | 67 | 2 0 0 |
| 34.05 | 52 | 1 1 5 |
| 40.56 | 18 | 1 3 5 |
| 46.58 | 18 | 2 4 1 |
| 47.70 | 16 | 2 4 2 |
| 60.24 | 15 | 3 3 3 |